Structure and simulated powder XRD pattern of Al6CuP4H16O28 (the GGA-PBE geometry in Alexandria; copper Kα).
Peak positions follow from Bragg's law for the DFT cell and can differ from measured ones.

Crystal structure
Cell: 7.491 7.700 9.984 Å, 68.34 69.65 65.42°
Positions (direct):
Al 0.214 0.326 0.249
Al 0.255 0.999 0.757
Al 0.256 0.686 0.274
Al 0.744 0.314 0.726
Al 0.745 0.001 0.243
Al 0.786 0.674 0.751
Cu 0.500 0.500 0.000
P 0.149 0.115 0.057
P 0.340 0.889 0.460
P 0.660 0.111 0.540
P 0.851 0.885 0.943
H 0.073 0.199 0.571
H 0.089 0.417 0.666
H 0.147 0.619 0.591
H 0.157 0.685 0.048
H 0.328 0.337 0.455
H 0.357 0.338 0.820
H 0.371 0.558 0.739
H 0.487 0.842 0.918
H 0.513 0.158 0.082
H 0.629 0.442 0.261
H 0.643 0.662 0.180
H 0.672 0.663 0.545
H 0.843 0.315 0.952
H 0.853 0.381 0.409
H 0.911 0.583 0.334
H 0.927 0.801 0.429
O 0.037 0.210 0.673
O 0.072 0.544 0.683
O 0.077 0.867 0.903
O 0.169 0.279 0.097
O 0.203 0.099 0.398
O 0.230 0.145 0.887
O 0.236 0.586 0.123
O 0.268 0.426 0.371
O 0.280 0.732 0.437
O 0.282 0.911 0.134
O 0.302 0.844 0.630
O 0.435 0.137 0.613
O 0.440 0.424 0.795
O 0.488 0.780 0.847
O 0.512 0.220 0.153
O 0.560 0.576 0.205
O 0.565 0.863 0.387
O 0.698 0.156 0.370
O 0.718 0.089 0.866
O 0.720 0.268 0.563
O 0.732 0.574 0.629
O 0.764 0.414 0.877
O 0.770 0.855 0.113
O 0.797 0.901 0.602
O 0.831 0.721 0.903
O 0.923 0.133 0.097
O 0.928 0.456 0.317
O 0.963 0.790 0.327

Peak list (10 most intense, 10 to 90 degrees two-theta, in order of falling intensity)
two_theta, I_rel
23.98, 100.0
30.51, 70.0
14.24, 51.8
25.73, 43.3
30.74, 35.5
26.91, 35.5
44.38, 28.3
49.77, 25.2
18.34, 23.0
14.65, 20.4


Structure and simulated powder XRD pattern of Rb2AlCuH6 (the GGA-PBE geometry in Alexandria; copper Kα).
Peak positions follow from Bragg's law for the DFT cell and can differ from measured ones.

Crystal structure
Cell: 6.282 5.557 5.824 Å, 66.96 54.49 58.55°
Positions (direct):
Rb 0.000 0.000 0.500
Rb 0.500 0.500 0.000
Al 0.250 0.250 0.750
Cu 0.692 0.692 0.308
H 0.054 0.054 0.946
H 0.082 0.447 0.553
H 0.447 0.082 0.918
H 0.484 0.484 0.516
H 0.532 0.973 0.468
H 0.973 0.532 0.027

Peak list (10 most intense, 10 to 90 degrees two-theta, in order of falling intensity)
two_theta, I_rel
28.50, 100.0
31.76, 82.8
32.76, 68.4
51.89, 35.4
39.08, 24.4
53.90, 23.5
59.77, 23.3
38.28, 16.9
20.81, 16.8
18.87, 15.2